Calculated powder XRD pattern
Compound: Sm4Ag2HgPt
Radiation: Cu Kα
Structure: the PBE geometry in Alexandria
No peak broadening, texture or thermal motion is included.

Peak list (10 most intense, 15 to 90 degrees two-theta, by intensity)
two_theta	intensity
34.39	100.0
61.55	27.4
49.42	17.3
82.67	7.8
61.74	7.0
82.83	6.2
72.38	5.9
20.86	4.4
72.59	4.3
65.56	2.5

a = 5.2226 Å, b = 5.2226 Å, c = 25.4868 Å
α = 90.00°, β = 90.00°, γ = 120.00°
Space group R-3m (No. 166, hexagonal axes)
Asymmetric unit:
Sm  0.0000  0.0000  0.1181 x6
Sm  0.0000  0.0000  0.3694 x6
Ag  0.0000  0.0000  0.2427 x6
Hg  0.0000  0.0000  0.5000 x3
Pt  0.0000  0.0000  0.0000 x3